# LiVB2O5
Computed XRD peak list, Cu Kα X-rays. Input: a structure optimized by DFT (PBE+U).
Peak positions follow from Bragg's law for the DFT cell and can differ from measured ones.

Largest 8 diffraction maxima, sorted by position, 5° ≤ 2θ ≤ 70°:
2θ 13.84, intensity 71
2θ 18.77, intensity 74
2θ 19.20, intensity 58
2θ 21.24, intensity 36
2θ 24.75, intensity 100
2θ 27.89, intensity 40
2θ 30.48, intensity 36
2θ 38.41, intensity 60

```
36
Lattice="5.2706 -4.9629 0.0000 5.2706 4.9629 0.0000 -4.1270 0.0000 8.3706" Properties=species:S:1:pos:R:3 pbc="T T T"
Li 2.1754 4.0855 6.2779
Li 4.2389 1.4650 2.0926
Li 2.1754 -1.4650 6.2779
Li 4.2389 -4.0855 2.0926
V -0.5652 1.9083 7.1173
V 1.4982 -1.9083 2.9320
V 4.9161 1.9083 5.4386
V 6.9796 -1.9083 1.2533
B 2.6527 3.3419 4.0352
B 5.8251 3.3419 0.1501
B 2.2713 0.0663 0.8744
B 0.2079 -0.0663 5.0597
B 6.2065 0.0663 3.3109
B 4.1430 -0.0663 7.4962
B 0.5892 -3.3419 8.2204
B 3.7617 -3.3419 4.3354
O -0.5142 0.6382 4.0690
O 2.8709 2.8084 2.8015
O 0.9953 3.0159 7.3969
O 2.8781 1.2622 0.4718
O -2.5777 -0.6382 8.2543
O 3.3556 3.0159 5.1590
O 0.3136 0.3309 6.3387
O 5.6069 2.8084 1.3838
O 2.3771 -0.3309 2.1534
O 0.8146 -1.2622 4.6571
O 5.5997 1.2622 3.7135
O 4.0373 0.3309 6.2172
O 0.8075 -2.8084 6.9868
O 6.1008 -0.3309 2.0319
O 3.0587 -3.0159 3.2116
O 8.9920 0.6382 0.1163
O 3.5362 -1.2622 7.8988
O 5.4191 -3.0159 0.9737
O 3.5434 -2.8084 5.5691
O 6.9285 -0.6382 4.3016
```

***

# LiVBO4
Computed XRD peak list, Cu Kα X-rays. Input: a structure optimized by DFT (PBE+U).
Peak positions follow from Bragg's law for the DFT cell and can differ from measured ones.

Largest 8 diffraction maxima, sorted by position, 5° ≤ 2θ ≤ 70°:
2θ 21.42, intensity 11
2θ 22.21, intensity 52
2θ 22.74, intensity 100
2θ 25.70, intensity 21
2θ 28.00, intensity 27
2θ 28.72, intensity 13
2θ 29.01, intensity 12
2θ 37.06, intensity 21

```
28
Lattice="8.3333 0.0000 0.0000 0.0000 4.8510 0.0000 -2.2663 0.0000 7.8359" Properties=species:S:1:pos:R:3 pbc="T T T"
Li 0.0000 0.8358 0.0000
Li -1.1331 4.0153 3.9180
Li 3.2467 1.5133 3.0362
Li 2.1135 3.3377 6.9542
V 0.3418 0.8909 5.9452
V 1.4749 3.9601 2.0272
V 5.8779 1.5617 1.1508
V 4.7447 3.2893 5.0688
B 0.1499 1.5140 2.9470
B -0.9832 3.3370 6.8649
B 3.4287 0.9390 6.0987
B 4.5618 3.9121 2.1808
O -0.2884 0.9525 4.2459
O 0.8448 3.8985 0.3280
O -0.8242 1.8797 6.9650
O 0.3089 2.9714 3.0470
O 1.4362 0.8896 2.5080
O 0.3031 3.9614 6.4260
O 2.0261 1.3648 6.4215
O 3.1593 3.4862 2.5035
O 4.6133 0.5144 1.9652
O 3.4802 4.3366 5.8831
O 3.9150 1.6636 4.9063
O 5.0481 3.1874 0.9883
O 4.2520 1.3414 7.2661
O 5.3851 3.5096 3.3481
O 7.4655 1.1464 1.9258
O 6.3324 3.7046 5.8438
```

***

# LiVB2O5
Computed XRD peak list, Cu Kα X-rays. Input: a structure optimized by DFT (PBE+U).
Peak positions follow from Bragg's law for the DFT cell and can differ from measured ones.

Largest 8 diffraction maxima, sorted by position, 5° ≤ 2θ ≤ 70°:
2θ 16.23, intensity 100
2θ 19.90, intensity 41
2θ 25.72, intensity 19
2θ 32.67, intensity 36
2θ 32.81, intensity 36
2θ 33.04, intensity 32
2θ 40.31, intensity 18
2θ 48.64, intensity 19

```
36
Lattice="6.9445 0.0000 0.0000 0.0000 9.6522 0.0000 -1.7307 0.0000 5.4834" Properties=species:S:1:pos:R:3 pbc="T T T"
Li 1.1482 0.4060 0.9396
Li 0.2829 4.4201 3.6813
Li 4.9310 5.2321 1.8021
Li 4.0656 9.2462 4.5438
V 1.1836 6.5261 1.6233
V 0.3182 7.9523 4.3649
V 4.8956 1.6999 1.1184
V 4.0303 3.1262 3.8601
B -0.4894 1.1323 3.6443
B 0.3760 3.6939 0.9026
B 1.9058 0.7932 3.9558
B 2.7711 4.0329 1.2141
B 2.4427 5.6193 4.2692
B 3.3081 8.8590 1.5275
B 4.8379 5.9584 4.5808
B 5.7032 8.5200 1.8391
O -1.1369 6.7970 5.0947
O -0.2715 7.6814 2.3530
O -0.8038 0.0254 4.3877
O 0.0615 4.8007 1.6460
O 0.8315 1.4840 3.3634
O 1.6968 3.3421 0.6217
O 1.3884 6.3548 3.7517
O 2.2537 8.1235 1.0100
O 2.8167 5.3812 1.3222
O 1.9514 9.0971 4.0639
O 3.2625 0.5551 1.4194
O 2.3972 4.2710 4.1611
O 2.9602 1.5287 4.4734
O 3.8255 3.2974 1.7317
O 3.5170 6.3101 4.8617
O 4.3824 8.1682 2.1200
O 5.1523 4.8515 3.8374
O 6.0177 9.6268 1.0957
O 5.4854 1.9709 3.1304
O 6.3507 2.8552 0.3887
```

***

# Li4VB2O6
Computed XRD peak list, Cu Kα X-rays. Input: a structure optimized by DFT (PBE+U).
Peak positions follow from Bragg's law for the DFT cell and can differ from measured ones.

Largest 8 diffraction maxima, sorted by position, 5° ≤ 2θ ≤ 70°:
2θ 14.75, intensity 100
2θ 28.73, intensity 36
2θ 29.74, intensity 35
2θ 30.33, intensity 95
2θ 31.04, intensity 44
2θ 34.74, intensity 38
2θ 39.44, intensity 48
2θ 45.94, intensity 37

```
26
Lattice="7.8786 0.0000 0.0000 0.0000 9.2862 0.0000 0.0000 0.0000 3.3811" Properties=species:S:1:pos:R:3 pbc="T T T"
Li 0.0751 1.8638 0.0000
Li 1.3707 0.5058 1.6905
Li 2.5686 5.1489 0.0000
Li 3.8642 6.5069 1.6905
Li 4.0144 2.7793 1.6905
Li 5.3100 4.1373 0.0000
Li 6.5079 8.7804 1.6905
Li 7.8035 7.4224 0.0000
V 0.0000 4.6431 1.6905
V 3.9393 0.0000 0.0000
B 1.7953 7.4048 1.6905
B 2.1440 2.7617 0.0000
B 5.7346 6.5245 0.0000
B 6.0833 1.8814 1.6905
O 0.5710 8.0137 1.6905
O 0.9784 3.5651 0.0000
O 1.9076 6.0138 1.6905
O 2.0317 1.3707 0.0000
O 2.9609 8.2082 1.6905
O 3.3683 3.3706 0.0000
O 4.5103 5.9157 0.0000
O 4.9177 1.0780 1.6905
O 5.8469 7.9155 0.0000
O 5.9710 3.2724 1.6905
O 6.9002 5.7211 0.0000
O 7.3076 1.2726 1.6905
```